Entry 1:
For CeSnRu, a PBE-relaxed structure gives the theoretical powder diffraction line list in this record (Cu Kα, 1.54184 Å).
Neutral-atom scattering factors, no anomalous dispersion.

Largest 12 diffraction maxima, by angle, 2θ = 5–70°:
two_theta, d [Å], I/Imax
28.29, 3.155, 43.3
29.95, 2.984, 98.7
31.49, 2.841, 42.9
32.29, 2.772, 100.0
36.69, 2.450, 40.4
36.84, 2.440, 36.3
37.13, 2.421, 89.9
38.02, 2.366, 59.6
43.55, 2.078, 46.3
49.46, 1.843, 24.5
53.19, 1.722, 28.0
53.30, 1.719, 25.2

Structural model:
a b c (Å): 6.313 6.313 10.014
angles (deg): 101.94 101.94 45.10
Atoms (fractional coordinates):
Ce 0.131 0.131 0.411
Ce 0.136 0.136 0.912
Ce 0.864 0.864 0.088
Ce 0.869 0.869 0.589
Sn 0.410 0.410 0.349
Sn 0.418 0.418 0.847
Sn 0.582 0.582 0.153
Sn 0.590 0.590 0.651
Ru 0.185 0.185 0.163
Ru 0.190 0.190 0.671
Ru 0.810 0.810 0.329
Ru 0.815 0.815 0.837

Entry 2:
For Al6Fe, a PBE-relaxed structure gives the theoretical powder diffraction line list in this record (Cu Kα, 1.54184 Å).
Neutral-atom scattering factors, no anomalous dispersion.

Largest 12 diffraction maxima, by angle, 2θ = 5–70°:
two_theta, d [Å], I/Imax
18.23, 4.867, 53.0
20.14, 4.408, 19.3
27.30, 3.267, 32.9
35.69, 2.516, 24.5
40.34, 2.236, 59.1
40.95, 2.204, 27.6
41.61, 2.171, 36.6
42.43, 2.130, 92.0
43.90, 2.062, 49.9
44.24, 2.047, 100.0
45.16, 2.008, 78.1
48.58, 1.874, 15.9

Structural model:
a b c (Å): 4.916 4.916 8.816
angles (deg): 90.00 90.00 81.84
Atoms (fractional coordinates):
Al 0.028 0.608 0.250
Al 0.146 0.854 0.598
Al 0.146 0.854 0.902
Al 0.323 0.323 0.000
Al 0.323 0.323 0.500
Al 0.392 0.972 0.250
Al 0.608 0.028 0.750
Al 0.677 0.677 0.000
Al 0.677 0.677 0.500
Al 0.854 0.146 0.098
Al 0.854 0.146 0.402
Al 0.972 0.392 0.750
Fe 0.460 0.540 0.750
Fe 0.540 0.460 0.250